Starting from a PBE-relaxed structure, the X-ray powder pattern of Rb2LaBe2S4 was simulated for Cu Kα.
Intensities are scaled so that the largest is 100.

Peak list (10 most intense, 2θ = 10–80°, by angle)
(hkl)	2θ (°)	d/Å	I (rel.)
2 0 0	12.71	6.966	34
2 0 -2	21.27	4.177	28
4 0 -1	23.21	3.833	59
1 1 0	24.48	3.636	41
3 1 -1	29.69	3.009	25
1 1 -2	32.02	2.796	100
4 0 1	32.35	2.767	42
3 1 1	35.60	2.522	27
5 1 -1	37.88	2.375	49
3 1 3	53.40	1.716	26

Atomic structure:
Lattice parameters (Å, degrees): 15.327 3.766 8.444 90.00 114.64 90.00
Space group C2/m (No. 12)
Unique sites:
Rb 0.128 0.000 0.057 x4
La 0.000 0.000 0.500 x2
Be 0.173 0.500 0.465 x4
S 0.036 0.500 0.267 x4
S 0.210 0.000 0.624 x4

Starting from a PBE-relaxed structure, the X-ray powder pattern of LaBeRu was simulated for Cu Kα.
Intensities are scaled so that the largest is 100.

Peak list (10 most intense, 2θ = 10–80°, by angle)
(hkl)	2θ (°)	d/Å	I (rel.)
1 0 1	25.04	3.557	82
1 1 1	32.51	2.754	83
1 0 2	35.68	2.516	35
2 0 0	41.47	2.178	100
0 0 3	44.06	2.055	21
2 1 1	49.07	1.857	27
2 1 2	55.85	1.646	19
2 0 3	62.11	1.495	27
3 1 1	70.03	1.344	18
3 1 2	75.65	1.257	18

Atomic structure:
Lattice parameters (Å, degrees): 4.353 4.353 6.167 90.00 90.00 90.00
Space group P4/nmm (No. 129, origin choice 2)
Unique sites:
La 0.250 0.250 0.172 x2
Be 0.250 0.250 0.633 x2
Ru 0.250 0.750 0.500 x2

Starting from a PBE-relaxed structure, the X-ray powder pattern of LaBeSi2Ru2 was simulated for Cu Kα.
Intensities are scaled so that the largest is 100.

Peak list (10 most intense, 2θ = 10–80°, by angle)
(hkl)	2θ (°)	d/Å	I (rel.)
1 0 1	26.65	3.345	27
0 0 2	33.03	2.712	20
1 1 1	34.11	2.629	100
1 0 2	39.42	2.286	23
2 0 0	42.55	2.125	38
2 0 2	54.89	1.673	19
2 1 2	59.38	1.556	14
1 1 3	59.69	1.549	18
2 2 0	61.74	1.503	12
3 1 1	72.46	1.304	22

Atomic structure:
Lattice parameters (Å, degrees): 4.250 4.250 5.424 90.00 90.00 90.00
Space group P4/mmm (No. 123)
Unique sites:
La 0.000 0.000 0.000 x1
Be 0.000 0.000 0.500 x1
Si 0.500 0.500 0.243 x2
Ru 0.000 0.500 0.500 x2

Starting from a PBE-relaxed structure, the X-ray powder pattern of La3BeSbS7 was simulated for Cu Kα.
Intensities are scaled so that the largest is 100.

Peak list (10 most intense, 2θ = 10–80°, by angle)
(hkl)	2θ (°)	d/Å	I (rel.)
1 0 1	17.16	5.168	62
1 1 1	22.29	3.989	44
2 0 1	24.47	3.638	58
1 2 0	26.59	3.353	100
1 1 2	33.16	2.701	49
3 0 1	33.42	2.681	55
2 0 2	34.71	2.584	55
1 2 2	39.04	2.307	49
3 1 1	39.26	2.295	39
4 1 0	46.91	1.937	56

Atomic structure:
Lattice parameters (Å, degrees): 10.2428 10.2428 6.3594 90.00 90.00 120.00
Space group P6_3 (No. 173)
Unique sites:
La 0.1427 0.3980 0.0000 x6
Be 0.3333 0.6667 0.4107 x2
Sb 0.0000 0.0000 0.2564 x2
S 0.0975 0.2520 0.5649 x6
S 0.1147 0.5931 0.2806 x6
S 0.3333 0.6667 0.7568 x2

Starting from a PBE-relaxed structure, the X-ray powder pattern of La3YbBeS7 was simulated for Cu Kα.
Intensities are scaled so that the largest is 100.

Peak list (10 most intense, 2θ = 10–80°, by angle)
(hkl)	2θ (°)	d/Å	I (rel.)
1 0 1	17.51	5.064	45
1 1 1	22.54	3.945	35
2 0 1	24.69	3.606	48
1 2 0	26.50	3.363	100
3 0 1	33.54	2.672	41
1 1 2	33.94	2.641	53
2 0 2	35.45	2.532	57
3 1 1	39.33	2.291	36
1 2 2	39.69	2.271	39
3 1 2	47.20	1.926	30

Atomic structure:
Lattice parameters (Å, degrees): 10.2744 10.2744 6.1583 90.00 90.00 120.00
Space group P6_3 (No. 173)
Unique sites:
La 0.1382 0.3933 0.0000 x6
Yb 0.0000 0.0000 0.2797 x2
Be 0.3333 0.6667 0.4122 x2
S 0.0847 0.2445 0.5302 x6
S 0.1155 0.5947 0.2804 x6
S 0.3333 0.6667 0.7608 x2

Starting from a PBE-relaxed structure, the X-ray powder pattern of La2ScBe was simulated for Cu Kα.
Intensities are scaled so that the largest is 100.

Peak list (10 most intense, 2θ = 10–80°, by angle)
(hkl)	2θ (°)	d/Å	I (rel.)
1 1 1	21.05	4.221	56
2 0 0	24.35	3.656	2
2 2 0	34.70	2.585	100
3 1 1	40.94	2.204	31
4 0 0	49.89	1.828	18
3 3 1	54.72	1.677	13
4 2 2	62.20	1.492	36
5 1 1	66.44	1.407	10
4 4 0	73.23	1.292	11
5 3 1	77.19	1.236	10

Atomic structure:
Lattice parameters (Å, degrees): 7.311 7.311 7.311 90.00 90.00 90.00
Space group F-43m (No. 216)
Unique sites:
La 0.000 0.000 0.000 x4
La 0.250 0.250 0.250 x4
Sc 0.000 0.000 0.500 x4
Be 0.250 0.250 0.750 x4

Starting from a PBE-relaxed structure, the X-ray powder pattern of LaBeSe was simulated for Cu Kα.
Intensities are scaled so that the largest is 100.

Peak list (10 most intense, 2θ = 10–80°, by angle)
(hkl)	2θ (°)	d/Å	I (rel.)
1 0 0	25.99	3.429	32
1 0 1	32.91	2.722	100
0 0 2	40.30	2.238	13
1 1 0	45.84	1.980	27
1 0 2	48.58	1.874	12
2 0 0	53.44	1.714	4
2 0 1	57.57	1.601	20
1 1 2	62.66	1.483	21
1 0 3	68.60	1.368	12
2 1 1	76.53	1.245	17

Atomic structure:
Lattice parameters (Å, degrees): 3.9594 3.9594 4.4755 90.00 90.00 120.00
Space group P-6m2 (No. 187)
Unique sites:
La 0.0000 0.0000 0.0000 x1
Be 0.3333 0.6667 0.5000 x1
Se 0.6667 0.3333 0.5000 x1

Starting from a PBE-relaxed structure, the X-ray powder pattern of LaBeSi was simulated for Cu Kα.
Intensities are scaled so that the largest is 100.

Peak list (10 most intense, 2θ = 10–80°, by angle)
(hkl)	2θ (°)	d/Å	I (rel.)
0 0 1	20.18	4.401	23
1 0 0	25.76	3.458	56
1 0 1	32.94	2.719	100
1 1 0	45.43	1.996	25
1 0 2	49.07	1.856	20
1 1 1	50.18	1.818	13
2 0 1	57.25	1.609	20
1 1 2	62.85	1.479	18
1 0 3	69.62	1.350	11
2 1 1	75.95	1.253	18

Atomic structure:
Lattice parameters (Å, degrees): 3.9927 3.9927 4.4007 90.00 90.00 120.00
Space group P-6m2 (No. 187)
Unique sites:
La 0.0000 0.0000 0.0000 x1
Be 0.6667 0.3333 0.5000 x1
Si 0.3333 0.6667 0.5000 x1

Starting from a PBE-relaxed structure, the X-ray powder pattern of LaBe2Si was simulated for Cu Kα.
Intensities are scaled so that the largest is 100.

Peak list (10 most intense, 2θ = 10–80°, by angle)
(hkl)	2θ (°)	d/Å	I (rel.)
0 0 3	17.17	5.163	42
1 0 1	27.29	3.268	60
0 1 2	29.09	3.070	100
0 0 6	34.75	2.582	25
1 0 4	35.47	2.531	69
0 1 5	39.66	2.272	26
1 1 0	47.08	1.930	34
1 1 3	50.48	1.808	18
0 1 8	54.79	1.676	17
1 1 6	59.82	1.546	30

Atomic structure:
Lattice parameters (Å, degrees): 3.8606 3.8606 15.4897 90.00 90.00 120.00
Space group R-3m (No. 166, hexagonal axes)
Unique sites:
La 0.0000 0.0000 0.0000 x3
Be 0.0000 0.0000 0.1979 x6
Si 0.0000 0.0000 0.5000 x3

Starting from a PBE-relaxed structure, the X-ray powder pattern of La3BeSi3 was simulated for Cu Kα.
Intensities are scaled so that the largest is 100.

Peak list (10 most intense, 2θ = 10–80°, by angle)
(hkl)	2θ (°)	d/Å	I (rel.)
0 1 1	20.46	4.341	21
1 0 3	26.74	3.334	41
0 0 6	29.25	3.053	18
0 1 5	31.62	2.829	100
1 1 4	36.03	2.493	17
0 2 0	40.37	2.234	15
1 2 3	49.09	1.856	16
1 0 9	50.33	1.813	21
2 1 5	56.52	1.628	16
0 1 11	59.18	1.561	15

Atomic structure:
Lattice parameters (Å, degrees): 3.979 4.468 18.317 90.00 90.00 90.00
Space group Imm2 (No. 44)
Unique sites:
La 0.000 0.000 0.000 x2
La 0.000 0.000 0.367 x2
La 0.000 0.500 0.684 x2
Be 0.000 0.500 0.117 x2
Si 0.000 0.000 0.554 x2
Si 0.000 0.000 0.819 x2
Si 0.000 0.500 0.240 x2

Starting from a PBE-relaxed structure, the X-ray powder pattern of LaTa2Be was simulated for Cu Kα.
Intensities are scaled so that the largest is 100.

Peak list (10 most intense, 2θ = 10–80°, by angle)
(hkl)	2θ (°)	d/Å	I (rel.)
0 0 1	12.18	7.269	41
0 0 2	24.49	3.634	12
0 1 1	27.55	3.237	22
1 0 1	31.75	2.818	16
0 1 2	35.01	2.563	60
1 1 0	38.53	2.337	100
0 2 0	50.48	1.808	12
1 1 4	65.04	1.434	13
1 2 2	65.22	1.430	20
2 1 2	71.92	1.313	17

Atomic structure:
Lattice parameters (Å, degrees): 3.057 3.616 7.269 90.00 90.00 90.00
Space group Pmm2 (No. 25)
Unique sites:
La 0.000 0.000 0.000 x1
Ta 0.000 0.000 0.544 x1
Ta 0.500 0.500 0.324 x1
Be 0.500 0.500 0.693 x1

Starting from a PBE-relaxed structure, the X-ray powder pattern of LaBeTl was simulated for Cu Kα.
Intensities are scaled so that the largest is 100.

Peak list (10 most intense, 2θ = 10–80°, by angle)
(hkl)	2θ (°)	d/Å	I (rel.)
1 0 0	20.89	4.252	53
1 1 0	28.89	3.091	49
0 1 2	30.10	2.969	95
1 1 1	31.07	2.878	100
1 1 2	36.93	2.434	29
0 2 0	40.07	2.250	32
1 0 3	40.29	2.239	56
2 0 0	42.53	2.126	27
2 1 2	52.98	1.728	40
1 2 3	58.13	1.587	39

Atomic structure:
Lattice parameters (Å, degrees): 4.252 4.500 7.900 90.00 90.00 90.00
Space group Pmmm (No. 47)
Unique sites:
La 0.000 0.000 0.000 x1
La 0.500 0.000 0.500 x1
Be 0.000 0.500 0.363 x2
Tl 0.500 0.500 0.190 x2

> What is the formula in the seventh record?

LaBeSe

Repeat the fourth record exactly.
Starting from a PBE-relaxed structure, the X-ray powder pattern of La3BeSbS7 was simulated for Cu Kα.
Intensities are scaled so that the largest is 100.

Peak list (10 most intense, 2θ = 10–80°, by angle)
(hkl)	2θ (°)	d/Å	I (rel.)
1 0 1	17.16	5.168	62
1 1 1	22.29	3.989	44
2 0 1	24.47	3.638	58
1 2 0	26.59	3.353	100
1 1 2	33.16	2.701	49
3 0 1	33.42	2.681	55
2 0 2	34.71	2.584	55
1 2 2	39.04	2.307	49
3 1 1	39.26	2.295	39
4 1 0	46.91	1.937	56

Atomic structure:
Lattice parameters (Å, degrees): 10.2428 10.2428 6.3594 90.00 90.00 120.00
Space group P6_3 (No. 173)
Unique sites:
La 0.1427 0.3980 0.0000 x6
Be 0.3333 0.6667 0.4107 x2
Sb 0.0000 0.0000 0.2564 x2
S 0.0975 0.2520 0.5649 x6
S 0.1147 0.5931 0.2806 x6
S 0.3333 0.6667 0.7568 x2